This entry pairs a crystal structure of KMg14Mo with its computed powder diffraction line list. Radiation: λ = 1.5418 Å (Cu Kα). Structure: a structure optimized by DFT (PBE).
Peak positions follow from Bragg's law for the DFT cell and can differ from measured ones.

The 10 most intense peaks (2θ = 10–90°), sorted by position:
| (hkl) | 2θ/deg | Rel. int. |
| --- | --- | --- |
| 1 0 0 | 15.77 | 18 |
| 1 0 2 | 23.52 | 13 |
| 2 0 0 | 31.84 | 27 |
| 0 0 4 | 35.09 | 23 |
| 2 0 2 | 36.48 | 100 |
| 2 0 4 | 48.11 | 16 |
| 2 2 0 | 56.74 | 18 |
| 2 0 6 | 63.86 | 15 |
| 2 2 4 | 68.49 | 17 |
| 4 0 2 | 69.36 | 14 |

Crystal structure
Lattice parameters (Å, degrees): 6.4902 6.4902 10.2288 90.00 90.00 120.00
Fractional positions:
K 0.0000 0.0000 0.0000
Mg 0.0092 0.5046 0.0000
Mg 0.1642 0.3285 0.2730
Mg 0.1642 0.3285 0.7270
Mg 0.1642 0.8358 0.2730
Mg 0.1642 0.8358 0.7270
Mg 0.4954 0.5046 0.0000
Mg 0.4954 0.9908 0.0000
Mg 0.5027 0.0054 0.5000
Mg 0.5027 0.4973 0.5000
Mg 0.6667 0.3333 0.2438
Mg 0.6667 0.3333 0.7562
Mg 0.6715 0.8358 0.2730
Mg 0.6715 0.8358 0.7270
Mg 0.9946 0.4973 0.5000
Mo 0.0000 0.0000 0.5000